# 1
NaCePtO4: theoretical powder X-ray diffraction pattern (Cu Kα (λ = 1.5418 Å)), based on a PBE-relaxed structure.
Neutral-atom scattering factors, no anomalous dispersion.

Structure:
a = 7.1849 Å, b = 7.1849 Å, c = 7.1849 Å
α = 128.83°, β = 123.22°, γ = 79.93°
Positions (direct):
Na 0.4079 0.1579 0.2500
Na 0.5921 0.8421 0.7500
Ce 0.0000 0.5000 0.5000
Ce 0.5000 0.5000 0.0000
Pt 0.0000 0.0000 0.5000
Pt 0.0000 0.5000 0.0000
O 0.1605 0.7274 0.4331
O 0.2057 0.2726 0.9331
O 0.2834 0.3213 0.5379
O 0.2834 0.7454 0.9621
O 0.7166 0.2546 0.0379
O 0.7166 0.6787 0.4621
O 0.7943 0.7274 0.0669
O 0.8395 0.2726 0.5669

Principal peaks in the range 2θ = 10–90°, in order of falling intensity:
2θ/deg, I_rel
15.26, 100
16.40, 54
30.80, 49
27.58, 42
51.84, 41
39.22, 40
32.72, 38
32.52, 35



# 2
Na4CeSb3O12: theoretical powder X-ray diffraction pattern (Cu Kα (λ = 1.5418 Å)), based on a PBE-relaxed structure.
Neutral-atom scattering factors, no anomalous dispersion.

Structure:
a = 7.0856 Å, b = 7.0856 Å, c = 7.0856 Å
α = 109.47°, β = 109.47°, γ = 109.47°
Positions (direct):
Na 0.0000 0.0000 0.5000
Na 0.0000 0.5000 0.0000
Na 0.5000 0.0000 0.0000
Na 0.5000 0.5000 0.5000
Ce 0.0000 0.0000 0.0000
Sb 0.0000 0.5000 0.5000
Sb 0.5000 0.0000 0.5000
Sb 0.5000 0.5000 0.0000
O 0.0000 0.2649 0.2649
O 0.0000 0.7351 0.7351
O 0.2500 0.5000 0.7500
O 0.2500 0.7500 0.5000
O 0.2649 0.0000 0.2649
O 0.2649 0.2649 0.0000
O 0.5000 0.2500 0.7500
O 0.5000 0.7500 0.2500
O 0.7351 0.0000 0.7351
O 0.7351 0.7351 0.0000
O 0.7500 0.2500 0.5000
O 0.7500 0.5000 0.2500

Principal peaks in the range 2θ = 10–90°, in order of falling intensity:
2θ/deg, I_rel
30.91, 100
21.72, 97
44.28, 40
54.98, 39
49.84, 39
64.42, 23
89.68, 21
68.85, 18